# KV3F9
Computed X-ray powder pattern, Cu Kα. Input: a cell relaxed with PBE+U.
Lines closer than 0.1° are merged.

```
data_KV3F9
_symmetry_space_group_name_H-M 'P 6/m m m'
_symmetry_Int_Tables_number 191
_symmetry_space_group_name_Hall '-P 6 2'
_cell_length_a 7.6373
_cell_length_b 7.6373
_cell_length_c 3.9767
_cell_angle_alpha 90.00
_cell_angle_beta 90.00
_cell_angle_gamma 120.00
loop_
_atom_site_label
_atom_site_fract_x
_atom_site_fract_y
_atom_site_fract_z
K1 0.0000 0.0000 0.0000
V1 0.0000 0.5000 0.5000
F1 0.0000 0.5000 0.0000
F2 0.2006 0.4012 0.5000
```

Largest 10 diffraction maxima, in order of rising 2θ, 15° ≤ 2θ ≤ 90°:
2θ/deg, intensity, h k l
22.4, 40, 0 0 1
26.1, 34, 1 0 1
27.0, 100, 2 0 0
32.5, 27, 1 1 1
45.6, 24, 0 0 2
47.1, 14, 3 0 1
47.6, 44, 2 2 0
53.8, 25, 2 0 2
55.6, 16, 4 0 0
68.1, 25, 2 2 2